Starting from a structure optimized by DFT (PBE), the XRD peak list of Pm5NdAl4 was calculated for Cu Kα, 1.54184 Å.
Peak positions follow from Bragg's law for the DFT cell and can differ from measured ones.

```
10
Lattice="3.6693 0.0000 0.0000 0.0000 3.6693 0.0000 0.0000 0.0000 20.3129" Properties=species:S:1:pos:R:3 pbc="T T T"
Pm 0.0000 0.0000 0.0000
Pm 0.0000 0.0000 3.7499
Pm 0.0000 0.0000 7.4969
Pm 0.0000 0.0000 12.8160
Pm 0.0000 0.0000 16.5631
Nd 1.8346 1.8346 10.1565
Al 1.8346 1.8346 1.8780
Al 1.8346 1.8346 5.6519
Al 1.8346 1.8346 14.6610
Al 1.8346 1.8346 18.4349
```

Most intense lines, 2θ = 10–90°, sorted by position:
hkl 1 0 0, d 3.669, intensity 38
hkl 0 0 6, d 3.385, intensity 17
hkl 1 0 4, d 2.974, intensity 19
hkl 1 0 5, d 2.723, intensity 100
hkl 1 1 0, d 2.595, intensity 65
hkl 1 0 6, d 2.488, intensity 16
hkl 1 1 6, d 2.059, intensity 18
hkl 2 0 0, d 1.835, intensity 23
hkl 1 0 11, d 1.650, intensity 19
hkl 2 1 5, d 1.522, intensity 34